Diffraction record for Hf9Mo4O3. The powder diffraction line list is simulated, not measured: it uses a structure optimized by DFT (GGA+U) and copper Kα.
No peak broadening, texture or thermal motion is included.

Cell and atoms:
```
32
Lattice="8.6351 0.0000 0.0000 -4.3176 7.4782 0.0000 0.0000 0.0000 8.4454" Properties=species:S:1:pos:R:3 pbc="T T T"
Hf -1.5561 4.0871 2.1114
Hf 0.0000 3.0836 4.7560
Hf 0.0000 3.0836 7.9122
Hf -1.6471 5.9365 4.7560
Hf -1.6471 5.9365 7.9122
Hf 2.6704 1.5418 0.5333
Hf 2.6704 1.5418 3.6895
Hf 1.5561 4.0871 2.1114
Hf 0.0000 6.7823 2.1114
Hf 4.3176 0.6959 6.3341
Hf 2.7615 3.3911 6.3341
Hf 1.6471 5.9365 4.7560
Hf 1.6471 5.9365 7.9122
Hf 5.9647 1.5418 0.5333
Hf 5.9647 1.5418 3.6895
Hf 4.3176 4.3947 0.5333
Hf 4.3176 4.3947 3.6895
Hf 5.8736 3.3911 6.3341
Mo 0.0000 0.0000 0.0000
Mo 0.0000 0.0000 4.2227
Mo 0.0000 1.6591 2.1114
Mo -2.8807 6.6487 2.1114
Mo 1.4368 0.8295 6.3341
Mo 2.8808 6.6487 2.1114
Mo 7.1983 0.8295 6.3341
Mo 4.3176 5.8191 6.3341
O -2.1588 3.7391 0.0000
O -2.1588 3.7391 4.2227
O 4.3176 0.0000 0.0000
O 4.3176 0.0000 4.2227
O 2.1588 3.7391 0.0000
O 2.1588 3.7391 4.2227
```

Most intense lines, 10 to 80 degrees two-theta, in order of rising 2θ:
2θ 31.66, 2.827 Å, rel. 31
2θ 31.97, 2.799 Å, rel. 32
2θ 34.03, 2.635 Å, rel. 60
2θ 36.03, 2.493 Å, rel. 36
2θ 37.62, 2.391 Å, rel. 100
2θ 38.32, 2.349 Å, rel. 98
2θ 40.09, 2.249 Å, rel. 47
2θ 63.50, 1.465 Å, rel. 47
2θ 64.78, 1.439 Å, rel. 27
2θ 66.92, 1.398 Å, rel. 38

Diffraction record for HfMo2O8. The powder diffraction line list is simulated, not measured: it uses a structure optimized by DFT (GGA+U) and copper Kα.
No peak broadening, texture or thermal motion is included.

Cell and atoms:
```
22
Lattice="5.7377 -4.0451 0.0000 5.7377 4.0451 0.0000 -4.0401 0.0000 6.3888" Properties=species:S:1:pos:R:3 pbc="T T T"
Hf 2.7076 3.8792 4.7916
Hf 4.7277 -3.8792 1.5972
Mo 2.2896 1.7981 1.5448
Mo 7.1658 1.7981 1.6496
Mo 0.2695 -1.7981 4.7392
Mo 5.1458 -1.7981 4.8440
O 3.7094 2.7600 0.3978
O 2.9748 3.1394 2.6979
O 1.1840 2.4384 4.5501
O 6.4806 3.1394 0.4965
O 5.7460 2.7600 2.7966
O 2.9476 0.3348 2.1378
O 4.2313 2.4384 5.0331
O 0.9275 -0.3348 5.3322
O 6.5078 0.3348 1.0566
O 3.2041 -2.4384 1.3557
O 4.4878 -0.3348 4.2510
O 1.6893 -2.7600 3.5922
O 0.9547 -3.1394 5.8923
O 6.2513 -2.4384 1.8387
O 4.4606 -3.1394 3.6909
O 3.7259 -2.7600 5.9910
```

Most intense lines, 10 to 80 degrees two-theta, in order of rising 2θ:
2θ 14.26, 6.213 Å, rel. 100
2θ 25.77, 3.456 Å, rel. 19
2θ 26.65, 3.344 Å, rel. 18
2θ 27.93, 3.194 Å, rel. 43
2θ 28.74, 3.106 Å, rel. 71
2θ 29.00, 3.080 Å, rel. 27
2θ 29.76, 3.002 Å, rel. 18
2θ 32.61, 2.746 Å, rel. 32
2θ 47.29, 1.922 Å, rel. 22
2θ 53.61, 1.710 Å, rel. 18